# 1
The following is a calculated X-ray diffraction stick pattern of NdBiN2O. It was derived from a DFT-relaxed cell (GGA-PBE, OQMD), using Cu Kα X-rays.
Lines closer than 0.1° are merged.

The 8 most intense peaks (10° ≤ 2θ ≤ 80°), low angle first:
2θ/deg	I (rel.)	hkl
29.85	100	2 1 1
30.24	21	0 2 0
30.38	24	0 0 2
43.39	22	0 2 2
52.70	24	4 0 2
53.47	21	2 3 1
53.64	20	2 1 3
62.01	13	4 2 2

Atomic structure:
a = 8.5971 Å, b = 5.9113 Å, c = 5.8853 Å
α = 90.00°, β = 90.00°, γ = 90.00°
Space group Ima2 (No. 46)
Symmetry-distinct sites (fractional):
Nd: 0.2500 0.0266 0.0000
Bi: 0.0000 0.0000 0.5052
N: 0.0760 0.2482 0.2539
O: 0.2500 0.6246 0.0228


# 2
The following is a calculated X-ray diffraction stick pattern of PaBiNO. It was derived from a DFT-relaxed cell (GGA-PBE, OQMD), using Cu Kα X-rays.
Lines closer than 0.1° are merged.

The 8 most intense peaks (10° ≤ 2θ ≤ 80°), low angle first:
2θ/deg	I (rel.)	hkl
24.56	16	1 2 0
29.17	100	1 2 1
31.28	25	0 0 2
36.54	21	2 0 1
37.03	12	0 4 0
40.17	10	1 2 2
49.24	14	0 4 2
54.39	18	1 2 3

Atomic structure:
a = 5.4458 Å, b = 9.7098 Å, c = 5.7183 Å
α = 90.00°, β = 90.00°, γ = 90.00°
Space group Pca2_1 (No. 29)
Symmetry-distinct sites (fractional):
Pa: 0.0367 0.1240 0.0000
Bi: 0.1103 0.5943 0.0050
N: 0.2489 0.9707 0.7468
O: 0.2346 0.2492 0.2637


# 3
The following is a calculated X-ray diffraction stick pattern of PmBiNO. It was derived from a DFT-relaxed cell (GGA-PBE, OQMD), using Cu Kα X-rays.
Lines closer than 0.1° are merged.

The 8 most intense peaks (10° ≤ 2θ ≤ 80°), low angle first:
2θ/deg	I (rel.)	hkl
29.81	100	1 2 1
30.10	24	2 0 0
30.40	24	0 0 2
43.31	21	2 0 2
53.28	21	3 2 1
53.65	21	1 2 3
61.92	13	2 4 2
71.16	13	3 2 3

Atomic structure:
a = 5.9370 Å, b = 8.6041 Å, c = 5.8801 Å
α = 90.00°, β = 90.00°, γ = 90.00°
Space group Pca2_1 (No. 29)
Symmetry-distinct sites (fractional):
Pm: 0.0075 0.1239 0.0000
Bi: 0.0120 0.6234 0.0049
N: 0.0969 0.6141 0.5880
O: 0.2484 0.9926 0.2507


# 4
The following is a calculated X-ray diffraction stick pattern of PrBiN2O. It was derived from a DFT-relaxed cell (GGA-PBE, OQMD), using Cu Kα X-rays.
Lines closer than 0.1° are merged.

The 8 most intense peaks (10° ≤ 2θ ≤ 80°), low angle first:
2θ/deg	I (rel.)	hkl
26.47	48	1 2 0
29.95	72	2 0 -4
30.41	100	0 2 2
30.55	96	2 2 -2
31.04	44	1 0 2
31.33	43	3 0 -2
47.70	45	3 2 0
53.65	32	1 0 -6

Atomic structure:
a = 8.8075 Å, b = 7.8557 Å, c = 11.9359 Å
α = 90.00°, β = 132.04°, γ = 90.00°
Space group P2_1/c (No. 14)
Symmetry-distinct sites (fractional):
Pr: 0.1340 0.0090 0.2018
Pr: 0.1753 0.5133 0.2092
Bi: 0.3181 0.2476 0.5382
Bi: 0.3237 0.7449 0.0326
N: 0.1886 0.9998 0.4964
N: 0.2470 0.9998 0.9521
N: 0.3755 0.2380 0.2478
N: 0.3822 0.7142 0.8802
O: 0.0416 0.2443 0.7689
O: 0.0593 0.7098 0.5316


# 5
The following is a calculated X-ray diffraction stick pattern of PrBiN2O. It was derived from a DFT-relaxed cell (GGA-PBE, OQMD), using Cu Kα X-rays.
Lines closer than 0.1° are merged.

The 8 most intense peaks (10° ≤ 2θ ≤ 80°), low angle first:
2θ/deg	I (rel.)	hkl
29.78	22	0 0 2
29.88	100	2 1 1
30.53	23	0 2 0
42.37	12	4 0 0
43.17	19	0 2 2
52.92	14	2 1 3
53.86	22	2 3 1
62.09	12	4 2 2

Atomic structure:
a = 8.5330 Å, b = 5.8558 Å, c = 6.0008 Å
α = 90.00°, β = 90.00°, γ = 90.00°
Space group Pmc2_1 (No. 26)
Symmetry-distinct sites (fractional):
Pr: 0.0000 0.2297 0.0000
Pr: 0.5000 0.2698 0.1187
Bi: 0.2500 0.2503 0.5593
N: 0.1872 0.0522 0.2589
N: 0.3142 0.4494 0.8577
O: 0.0000 0.3745 0.6055
O: 0.5000 0.1270 0.5141


# 6
The following is a calculated X-ray diffraction stick pattern of PrBiN2O. It was derived from a DFT-relaxed cell (GGA-PBE, OQMD), using Cu Kα X-rays.
Lines closer than 0.1° are merged.

The 8 most intense peaks (10° ≤ 2θ ≤ 80°), low angle first:
2θ/deg	I (rel.)	hkl
29.09	19	0 0 2
30.17	100	2 1 1
42.37	16	0 2 2
44.02	9	4 0 0
52.26	13	2 1 3
53.53	18	2 3 1
54.26	9	4 2 0
62.75	9	4 2 2

Atomic structure:
a = 8.2291 Å, b = 5.9334 Å, c = 6.1385 Å
α = 90.00°, β = 90.00°, γ = 90.00°
Space group Pmc2_1 (No. 26)
Symmetry-distinct sites (fractional):
Pr: 0.0000 0.2335 0.0000
Pr: 0.5000 0.2621 0.1118
Bi: 0.2529 0.2643 0.5581
N: 0.0000 0.3595 0.6097
N: 0.3009 0.4296 0.8701
N: 0.5000 0.1253 0.4980
O: 0.1868 0.0502 0.2618